Entry 1:
Computed XRD peak list of Ac2PrSmEr for Cu Kα (λ = 1.5418 Å), from a structure optimized by DFT (PBE).

Main lines, low angle first (10° ≤ 2θ ≤ 90°):
2θ = 18.9°, rel. 175; 2θ = 27.5°, rel. 249; 2θ = 27.6°, rel. 1000; 2θ = 28.0°, rel. 289; 2θ = 31.3°, rel. 187; 2θ = 32.2°, rel. 212; 2θ = 33.1°, rel. 207; 2θ = 35.8°, rel. 228; 2θ = 38.3°, rel. 226; 2θ = 43.4°, rel. 173; 2θ = 48.7°, rel. 217; 2θ = 53.4°, rel. 151

Structure:
```
10
Lattice="6.4946 0.0000 0.0000 0.0000 8.8900 0.0000 0.0000 0.0000 6.8150" Properties=species:S:1:pos:R:3 pbc="T T T"
Ac 1.6236 1.8276 1.4471
Ac 1.6236 7.0624 1.4471
Ac 4.8709 1.8276 5.3679
Ac 4.8709 7.0624 5.3679
Pr 1.6236 4.4450 6.2366
Pr 4.8709 4.4450 0.5784
Sm 1.6236 0.0000 4.6602
Sm 4.8709 0.0000 2.1548
Er 0.0000 4.4450 3.4075
Er 3.2473 4.4450 3.4075
```

Entry 2:
Computed XRD peak list of AcTb5Pr2Er for Cu Kα (λ = 1.5418 Å), from a structure optimized by DFT (PBE).

Main lines, low angle first (10° ≤ 2θ ≤ 90°):
2θ = 28.2°, rel. 402; 2θ = 28.5°, rel. 501; 2θ = 30.3°, rel. 1000; 2θ = 31.9°, rel. 155; 2θ = 36.4°, rel. 116; 2θ = 37.0°, rel. 138; 2θ = 42.4°, rel. 202; 2θ = 45.6°, rel. 90; 2θ = 46.1°, rel. 128; 2θ = 51.6°, rel. 227; 2θ = 55.0°, rel. 146; 2θ = 57.9°, rel. 82

Structure:
```
18
Lattice="-4.4356 4.4356 7.8839 4.4356 -4.4356 7.8839 4.4356 4.4356 -7.8839" Properties=species:S:1:pos:R:3 pbc="T T T"
Ac 0.0000 0.0000 3.9420
Ac 0.0000 0.0000 11.8259
Tb 0.0000 0.0000 0.0000
Tb 6.2738 1.8382 -2.1206
Tb 1.8382 2.5974 -2.1206
Tb 6.2738 1.8382 2.1206
Tb 1.8382 2.5974 2.1206
Tb 0.0000 0.0000 7.8839
Tb 2.5974 1.8382 5.7634
Tb -1.8382 2.5974 5.7634
Tb 2.5974 1.8382 10.0045
Tb -1.8382 2.5974 10.0045
Pr 3.3918 1.0439 0.0000
Pr 3.3918 -1.0439 7.8839
Pr 1.0439 5.4795 0.0000
Pr 1.0439 3.3918 7.8839
Er 4.4356 0.0000 3.9420
Er 0.0000 4.4356 3.9420
```

Entry 3:
Computed XRD peak list of AcTb2PrEr4 for Cu Kα (λ = 1.5418 Å), from a structure optimized by DFT (PBE).

Main lines, low angle first (10° ≤ 2θ ≤ 90°):
2θ = 26.5°, rel. 448; 2θ = 29.9°, rel. 1000; 2θ = 40.4°, rel. 880; 2θ = 53.1°, rel. 67; 2θ = 53.2°, rel. 134; 2θ = 60.4°, rel. 180; 2θ = 60.4°, rel. 90; 2θ = 62.2°, rel. 83; 2θ = 63.6°, rel. 223; 2θ = 68.8°, rel. 121; 2θ = 79.7°, rel. 118; 2θ = 86.3°, rel. 68

Structure:
```
16
Lattice="6.8875 -6.7157 0.0000 6.8875 6.7157 0.0000 -3.4562 0.0000 5.9729" Properties=species:S:1:pos:R:3 pbc="T T T"
Ac 3.4437 3.3579 0.0000
Ac 1.7156 -3.3579 2.9865
Tb 0.0000 0.0000 0.0000
Tb -1.7281 0.0000 2.9865
Tb 1.7156 3.3579 2.9865
Tb 3.4437 -3.3579 0.0000
Pr 6.8875 0.0000 0.0000
Pr 5.1594 0.0000 2.9865
Er 1.6635 0.1223 2.9624
Er 5.1147 3.4139 3.0611
Er 3.4760 3.4139 5.8982
Er -0.0646 -0.1223 5.9489
Er 10.3834 0.1223 0.0240
Er 6.8428 -3.4139 0.0747
Er 5.2041 -3.4139 2.9118
Er 8.6553 -0.1223 3.0105
```

Entry 4:
Computed XRD peak list of AcTb2Pr4Er for Cu Kα (λ = 1.5418 Å), from a structure optimized by DFT (PBE).

Main lines, low angle first (10° ≤ 2θ ≤ 90°):
2θ = 29.6°, rel. 586; 2θ = 31.1°, rel. 1000; 2θ = 42.3°, rel. 223; 2θ = 46.7°, rel. 75; 2θ = 53.4°, rel. 440; 2θ = 56.3°, rel. 173; 2θ = 61.4°, rel. 74; 2θ = 64.8°, rel. 114; 2θ = 69.6°, rel. 102; 2θ = 70.4°, rel. 96; 2θ = 85.7°, rel. 117; 2θ = 88.0°, rel. 102

Structure:
```
8
Lattice="6.0409 0.0000 0.0000 0.0000 6.0409 0.0000 0.0000 0.0000 7.7779" Properties=species:S:1:pos:R:3 pbc="T T T"
Ac 0.0000 0.0000 0.0000
Tb 0.0000 0.0000 3.8890
Tb 3.0204 3.0204 0.0000
Pr 0.0000 3.0204 2.0984
Pr 0.0000 3.0204 5.6796
Pr 3.0204 0.0000 2.0984
Pr 3.0204 0.0000 5.6796
Er 3.0204 3.0204 3.8890
```

Entry 5:
Computed XRD peak list of AcPr2ErTm5 for Cu Kα (λ = 1.5418 Å), from a structure optimized by DFT (PBE).

Main lines, low angle first (10° ≤ 2θ ≤ 90°):
2θ = 28.5°, rel. 391; 2θ = 28.7°, rel. 508; 2θ = 30.7°, rel. 1000; 2θ = 32.2°, rel. 152; 2θ = 36.9°, rel. 110; 2θ = 37.3°, rel. 135; 2θ = 42.7°, rel. 196; 2θ = 46.0°, rel. 93; 2θ = 46.8°, rel. 124; 2θ = 52.1°, rel. 228; 2θ = 55.8°, rel. 144; 2θ = 58.5°, rel. 81

Structure:
```
18
Lattice="-4.4003 4.4003 7.7609 4.4003 -4.4003 7.7609 4.4003 4.4003 -7.7609" Properties=species:S:1:pos:R:3 pbc="T T T"
Ac 0.0000 0.0000 3.8805
Ac 0.0000 0.0000 11.6414
Pr 5.4319 1.0316 0.0000
Pr 1.0316 3.3687 0.0000
Pr 3.3687 1.0316 7.7609
Pr -1.0316 3.3687 7.7609
Er 4.4003 0.0000 3.8805
Er 0.0000 4.4003 3.8805
Tm 0.0000 0.0000 0.0000
Tm 2.5707 1.8296 -2.0877
Tm 2.5707 -1.8296 5.6732
Tm 2.5707 1.8296 2.0877
Tm 2.5707 -1.8296 9.8486
Tm 0.0000 0.0000 7.7609
Tm 1.8296 6.2298 -2.0877
Tm 1.8296 2.5707 5.6732
Tm 1.8296 6.2298 2.0877
Tm 1.8296 2.5707 9.8486
```

Entry 6:
Computed XRD peak list of AcPr2ErTm for Cu Kα (λ = 1.5418 Å), from a structure optimized by DFT (PBE).

Main lines, low angle first (10° ≤ 2θ ≤ 90°):
2θ = 27.5°, rel. 119; 2θ = 27.7°, rel. 235; 2θ = 30.2°, rel. 376; 2θ = 31.5°, rel. 1000; 2θ = 31.6°, rel. 506; 2θ = 41.4°, rel. 241; 2θ = 48.8°, rel. 199; 2θ = 54.5°, rel. 326; 2θ = 58.4°, rel. 116; 2θ = 58.5°, rel. 117; 2θ = 58.6°, rel. 116; 2θ = 59.4°, rel. 166

Structure:
```
10
Lattice="6.4496 0.0000 0.0000 0.0000 5.9142 0.0000 -3.1860 0.0000 9.3406" Properties=species:S:1:pos:R:3 pbc="T T T"
Ac 0.5541 1.4786 0.9785
Ac 2.7095 4.4357 8.3621
Pr -0.5096 4.4357 6.5455
Pr 0.5751 1.4786 4.6976
Pr 2.6885 4.4357 4.6430
Pr 3.7732 1.4786 2.7951
Er 2.7363 4.4357 0.9663
Er 0.5273 1.4786 8.3743
Tm -0.5616 4.4357 2.8578
Tm 3.8252 1.4786 6.4828
```